Diffraction record for Y5Ho4Tl4. The PXRD pattern is theoretical, not measured: it uses DFT lattice parameters and positions (GGA-PBE) and Cu Kα X-rays.

Structural model:
abc: 9.038 9.038 9.038
angles: 94.49 94.49 147.49
Positions (direct):
1 Y 0.000 0.000 0.000
2 Y 0.312 0.602 0.914
3 Y 0.398 0.312 0.710
4 Y 0.602 0.688 0.290
5 Y 0.688 0.398 0.086
6 Ho 0.096 0.397 0.492
7 Ho 0.397 0.904 0.301
8 Ho 0.603 0.096 0.699
9 Ho 0.904 0.603 0.508
10 Tl 0.102 0.765 0.867
11 Tl 0.235 0.102 0.337
12 Tl 0.765 0.898 0.663
13 Tl 0.898 0.235 0.133

Most intense lines, 5° ≤ 2θ ≤ 70°, in order of rising 2θ:
22.92°, I = 10
31.69°, I = 100
34.98°, I = 11
35.49°, I = 22
37.37°, I = 15
44.29°, I = 8
52.48°, I = 11
57.99°, I = 7
61.35°, I = 15
67.83°, I = 12